No. 1
Structure and simulated powder diffraction line list of Ba2CaI6 (a crystal structure in the Materials Project, relaxed with GGA-PBE; Cu Kα (λ = 1.5418 Å)).

Main lines, sorted by position (10° ≤ 2θ ≤ 90°):
2θ/deg, I (rel.), h k l
16.76, 334, 1 1 1
24.32, 1000, 0 3 1
31.44, 586, 3 0 2
35.04, 128, 1 4 1
37.63, 310, 3 3 0
40.87, 232, 3 0 3
45.31, 133, 6 0 1
61.19, 133, 3 3 4

Structure:
```
data_Ba2CaI6
_symmetry_space_group_name_H-M 'P 3 2 1'
_symmetry_Int_Tables_number 150
_symmetry_space_group_name_Hall 'P 3 2"'
_cell_length_a 14.3424
_cell_length_b 14.3424
_cell_length_c 7.8309
_cell_angle_alpha 90.00
_cell_angle_beta 90.00
_cell_angle_gamma 120.00
loop_
_atom_site_label
_atom_site_type_symbol
_atom_site_fract_x
_atom_site_fract_y
_atom_site_fract_z
Ba1 Ba 0.0000 0.3054 0.0000
Ba2 Ba 0.0000 0.6368 0.5000
Ca1 Ca 0.0000 0.0000 0.5000
Ca2 Ca 0.3333 0.6667 0.9921
I1 I 0.0851 0.8760 0.2708
I2 I 0.1311 0.5429 0.2359
I3 I 0.2273 0.4613 0.7524
```



No. 2
Structure and simulated powder diffraction line list of BaCaI4 (a crystal structure in the Materials Project, relaxed with GGA-PBE; Cu Kα (λ = 1.5418 Å)).

Main lines, sorted by position (10° ≤ 2θ ≤ 90°):
2θ/deg, I (rel.), h k l
24.67, 427, 1 2 2
24.87, 890, 2 1 1
26.37, 1000, 1 3 0
26.64, 848, 1 1 3
27.87, 913, 0 2 3
28.21, 547, 2 1 2
30.07, 352, 1 2 3
30.54, 382, 0 0 4

Structure:
```
data_BaCaI4
_symmetry_space_group_name_H-M 'P b c m'
_symmetry_Int_Tables_number 57
_symmetry_space_group_name_Hall '-P 2c 2b'
_cell_length_a 7.983
_cell_length_b 11.191
_cell_length_c 11.710
_cell_angle_alpha 90.00
_cell_angle_beta 90.00
_cell_angle_gamma 90.00
loop_
_atom_site_label
_atom_site_type_symbol
_atom_site_fract_x
_atom_site_fract_y
_atom_site_fract_z
Ba1 Ba 0.035 0.171 0.250
Ca1 Ca 0.500 0.000 0.000
I1 I 0.163 0.595 0.586
I2 I 0.310 0.250 0.000
I3 I 0.359 0.537 0.250
```



No. 3
Structure and simulated powder diffraction line list of Ba2CaI6 (a crystal structure in the Materials Project, relaxed with GGA-PBE; Cu Kα (λ = 1.5418 Å)).

Main lines, sorted by position (10° ≤ 2θ ≤ 90°):
2θ/deg, I (rel.), h k l
24.48, 676, 2 1 -2
25.20, 1000, 0 2 2
25.61, 776, 2 1 -1
26.49, 683, 1 0 -4
27.77, 724, 1 2 -3
27.89, 629, 1 1 2
30.90, 917, 0 2 3
31.63, 718, 1 3 -1

Structure:
```
data_Ba2CaI6
_symmetry_space_group_name_H-M 'P 1 21/c 1'
_symmetry_Int_Tables_number 14
_symmetry_space_group_name_Hall '-P 2ybc'
_cell_length_a 7.939
_cell_length_b 9.083
_cell_length_c 13.638
_cell_angle_alpha 90.00
_cell_angle_beta 124.41
_cell_angle_gamma 90.00
loop_
_atom_site_label
_atom_site_type_symbol
_atom_site_fract_x
_atom_site_fract_y
_atom_site_fract_z
Ba1 Ba 0.220 0.109 0.254
Ca1 Ca 0.500 0.000 0.000
I1 I 0.111 0.173 0.938
I2 I 0.280 0.692 0.941
I3 I 0.364 0.033 0.738
```



No. 4
Structure and simulated powder diffraction line list of BaCaI4 (a crystal structure in the Materials Project, relaxed with GGA-PBE; Cu Kα (λ = 1.5418 Å)).

Main lines, sorted by position (10° ≤ 2θ ≤ 90°):
2θ/deg, I (rel.), h k l
16.00, 437, 2 0 0
24.06, 1000, 0 2 1
25.42, 472, 3 1 0
32.31, 364, 0 4 0
36.19, 282, 0 0 2
38.70, 288, 3 3 -1
39.23, 265, 3 3 1
49.31, 257, 6 0 0

Structure:
```
data_BaCaI4
_symmetry_space_group_name_H-M 'C 1 m 1'
_symmetry_Int_Tables_number 8
_symmetry_space_group_name_Hall 'C -2y'
_cell_length_a 11.081
_cell_length_b 11.086
_cell_length_c 4.966
_cell_angle_alpha 90.00
_cell_angle_beta 91.29
_cell_angle_gamma 90.00
loop_
_atom_site_label
_atom_site_type_symbol
_atom_site_fract_x
_atom_site_fract_y
_atom_site_fract_z
Ba1 Ba 0.000 0.000 0.000
Ca1 Ca 0.000 0.500 0.503
I1 I 0.183 0.500 0.012
I2 I 0.315 0.000 0.990
I3 I 0.487 0.285 0.496
```



No. 5
Structure and simulated powder diffraction line list of BaCaInSbO6 (a crystal structure in the Materials Project, relaxed with GGA-PBE; Cu Kα (λ = 1.5418 Å)).

Main lines, sorted by position (10° ≤ 2θ ≤ 90°):
2θ/deg, I (rel.), h k l
18.57, 122, 1 1 1
21.47, 84, 2 0 0
30.55, 1000, 2 2 0
43.74, 326, 4 0 0
54.29, 391, 4 2 2
63.58, 196, 4 4 0
72.17, 170, 6 2 0
88.36, 207, 6 4 2

Structure:
```
data_BaCaInSbO6
_symmetry_space_group_name_H-M 'F -4 3 m'
_symmetry_Int_Tables_number 216
_symmetry_space_group_name_Hall 'F -4 2 3'
_cell_length_a 8.278
_cell_length_b 8.278
_cell_length_c 8.278
_cell_angle_alpha 90.00
_cell_angle_beta 90.00
_cell_angle_gamma 90.00
loop_
_atom_site_label
_atom_site_type_symbol
_atom_site_fract_x
_atom_site_fract_y
_atom_site_fract_z
Ba1 Ba 0.000 0.000 0.000
Ca1 Ca 0.000 0.000 0.500
In1 In 0.250 0.250 0.750
Sb1 Sb 0.250 0.250 0.250
O1 O 0.009 0.250 0.250
```



No. 6
Structure and simulated powder diffraction line list of Ba3CaIr2O9 (a crystal structure in the Materials Project, relaxed with GGA-PBE; Cu Kα (λ = 1.5418 Å)).

Main lines, sorted by position (10° ≤ 2θ ≤ 90°):
2θ/deg, I (rel.), h k l
30.27, 1000, 1 1 0
43.34, 288, 2 0 2
53.64, 98, 1 0 4
53.81, 307, 3 0 0
63.05, 88, 2 2 0
71.37, 88, 2 1 4
71.50, 92, 3 1 2
87.50, 109, 4 1 0

Structure:
```
data_Ba3CaIr2O9
_symmetry_space_group_name_H-M 'P -3 m 1'
_symmetry_Int_Tables_number 164
_symmetry_space_group_name_Hall '-P 3 2"'
_cell_length_a 5.8977
_cell_length_b 5.8977
_cell_length_c 7.2521
_cell_angle_alpha 90.00
_cell_angle_beta 90.00
_cell_angle_gamma 120.00
loop_
_atom_site_label
_atom_site_type_symbol
_atom_site_fract_x
_atom_site_fract_y
_atom_site_fract_z
Ba1 Ba 0.0000 0.0000 0.0000
Ba2 Ba 0.3333 0.6667 0.6657
Ca1 Ca 0.0000 0.0000 0.5000
Ir1 Ir 0.3333 0.6667 0.1586
O1 O 0.0000 0.5000 0.0000
O2 O 0.1784 0.3568 0.3142
```



No. 7
Structure and simulated powder diffraction line list of Ba3CaIr2O9 (a crystal structure in the Materials Project, relaxed with GGA-PBE; Cu Kα (λ = 1.5418 Å)).

Main lines, sorted by position (10° ≤ 2θ ≤ 90°):
2θ/deg, I (rel.), h k l
17.15, 152, 1 1 0
18.24, 267, 1 1 1
29.47, 141, 1 1 -4
29.76, 130, 0 2 4
29.93, 1000, 1 3 0
34.71, 132, 1 1 -5
53.11, 150, 3 3 0
62.20, 178, 2 6 0

Structure:
```
data_Ba3CaIr2O9
_symmetry_space_group_name_H-M 'C 1 2/c 1'
_symmetry_Int_Tables_number 15
_symmetry_space_group_name_Hall '-C 2yc'
_cell_length_a 5.976
_cell_length_b 10.332
_cell_length_c 14.757
_cell_angle_alpha 90.00
_cell_angle_beta 91.29
_cell_angle_gamma 90.00
loop_
_atom_site_label
_atom_site_type_symbol
_atom_site_fract_x
_atom_site_fract_y
_atom_site_fract_z
Ba1 Ba 0.000 0.001 0.250
Ba2 Ba 0.004 0.333 0.586
Ca1 Ca 0.000 0.000 0.000
Ir1 Ir 0.009 0.334 0.163
O1 O 0.000 0.489 0.250
O2 O 0.017 0.178 0.089
O3 O 0.214 0.410 0.418
O4 O 0.233 0.257 0.256
O5 O 0.249 0.411 0.094
```